(1)
Structure and simulated powder X-ray diffraction pattern of Cs2V5O13 (a DFT-relaxed cell (PBE+U, the Materials Project); Cu Ka).

Largest 10 diffraction maxima, sorted by position, 5 to 70 degrees two-theta:
d (Å), intensity, index
5.572, 20.2, 1 1 0
4.122, 39.6, 1 1 2
3.314, 100.0, 2 0 2
3.063, 11.2, 0 0 4
2.786, 33.2, 2 2 0
2.684, 22.2, 1 1 4
2.308, 14.2, 3 1 2
1.970, 13.3, 4 0 0
1.933, 11.8, 3 1 4
1.693, 21.5, 4 2 2

Atomic structure:
a b c (Å): 7.879 7.879 12.253
angles (deg): 90.00 90.00 90.00
Space group I4mm (No. 107)
Asymmetric unit:
Cs (0.000, 0.500, 0.000)
V (0.000, 0.000, 0.391)
V (0.225, 0.225, 0.744)
O (0.000, 0.000, 0.525)
O (0.000, 0.270, 0.757)
O (0.172, 0.172, 0.350)
O (0.205, 0.205, 0.127)


(2)
Structure and simulated powder X-ray diffraction pattern of CsV2O5 (a DFT-relaxed cell (PBE+U, the Materials Project); Cu Ka).

Largest 10 diffraction maxima, sorted by position, 5 to 70 degrees two-theta:
d (Å), intensity, index
4.237, 42.3, 0 2 1
3.691, 63.9, 1 2 -1
3.673, 20.8, 1 2 1
3.493, 100.0, 1 0 2
3.329, 31.0, 1 1 -2
3.207, 42.6, 2 1 -1
3.183, 39.0, 2 1 1
2.840, 24.1, 1 3 1
2.347, 26.2, 0 2 3
2.117, 18.8, 0 4 2

Atomic structure:
a b c (Å): 7.442 10.002 7.974
angles (deg): 90.00 90.61 90.00
Space group P2_1/c (No. 14)
Asymmetric unit:
Cs (0.099, 0.126, 0.231)
V (0.379, 0.705, 0.512)
V (0.388, 0.023, 0.664)
O (0.171, 0.681, 0.581)
O (0.181, 0.076, 0.621)
O (0.392, 0.628, 0.315)
O (0.435, 0.615, 0.982)
O (0.461, 0.133, 0.856)


(3)
Structure and simulated powder X-ray diffraction pattern of CsV2O5 (a DFT-relaxed cell (PBE+U, the Materials Project); Cu Ka).

Largest 10 diffraction maxima, sorted by position, 5 to 70 degrees two-theta:
d (Å), intensity, index
3.779, 100.0, 1 0 1
2.945, 44.7, 1 1 0
2.813, 9.5, 0 0 2
2.463, 9.0, 1 0 2
2.323, 16.6, 2 0 1
2.034, 19.5, 1 1 2
1.824, 24.1, 2 1 1
1.760, 9.7, 1 0 3
1.511, 8.5, 2 0 3
1.372, 9.1, 3 1 1

Atomic structure:
a b c (Å): 5.8898 5.8898 5.6264
angles (deg): 90.00 90.00 120.00
Space group P6mm (No. 183)
Asymmetric unit:
Cs (0.0000, 0.0000, 0.0000)
V (0.3333, 0.6667, 0.5144)
O (0.0000, 0.5000, 0.6286)
O (0.3333, 0.6667, 0.2211)


(4)
Structure and simulated powder X-ray diffraction pattern of CsVO3 (a DFT-relaxed cell (PBE+U, the Materials Project); Cu Ka).

Largest 10 diffraction maxima, sorted by position, 5 to 70 degrees two-theta:
d (Å), intensity, index
4.183, 17.3, 1 2 0
3.869, 23.9, 1 1 1
3.412, 100.0, 1 2 1
3.137, 12.1, 0 4 0
2.950, 31.4, 0 0 2
2.770, 20.0, 0 4 1
2.738, 17.6, 1 4 0
2.484, 24.6, 2 1 1
2.149, 13.5, 0 4 2
1.781, 27.5, 1 2 3

Atomic structure:
a b c (Å): 5.612 12.546 5.901
angles (deg): 90.00 90.00 90.00
Space group Pbcm (No. 57)
Asymmetric unit:
Cs (0.086, 0.099, 0.250)
V (0.451, 0.673, 0.750)
O (0.155, 0.654, 0.750)
O (0.408, 0.056, 0.750)
O (0.457, 0.250, 0.000)


(5)
Structure and simulated powder X-ray diffraction pattern of CsV2O5 (a DFT-relaxed cell (PBE+U, the Materials Project); Cu Ka).

Largest 10 diffraction maxima, sorted by position, 5 to 70 degrees two-theta:
d (Å), intensity, index
5.220, 15.4, 2 0 0
4.040, 33.1, 2 0 -1
3.900, 81.0, 1 1 -1
3.787, 100.0, 2 0 1
2.981, 47.6, 3 1 0
2.952, 18.4, 0 0 2
2.890, 29.5, 0 2 0
2.607, 17.4, 4 0 0
2.350, 15.2, 2 2 -1
1.445, 14.7, 0 4 0

Atomic structure:
a b c (Å): 10.461 5.779 5.916
angles (deg): 90.00 93.64 90.00
Space group Cm (No. 8)
Asymmetric unit:
Cs (0.000, 0.000, 0.000)
V (0.211, 0.500, 0.472)
V (0.387, 0.000, 0.451)
O (0.045, 0.500, 0.337)
O (0.233, 0.500, 0.751)
O (0.305, 0.252, 0.353)
O (0.404, 0.000, 0.730)


(6)
Structure and simulated powder X-ray diffraction pattern of Cs2V3O8 (a DFT-relaxed cell (PBE+U, the Materials Project); Cu Ka).

Largest 10 diffraction maxima, sorted by position, 5 to 70 degrees two-theta:
d (Å), intensity, index
3.659, 31.7, 2 0 1
3.394, 100.0, 2 1 1
3.084, 19.1, 0 0 2
2.874, 19.2, 3 1 0
2.457, 10.7, 2 1 2
2.204, 12.2, 4 1 0
2.103, 11.6, 3 1 2
2.076, 13.5, 4 1 1
1.835, 14.5, 2 1 3
1.793, 9.7, 4 1 2

Atomic structure:
a b c (Å): 9.089 9.089 6.169
angles (deg): 90.00 90.00 90.00
Space group P4bm (No. 100)
Asymmetric unit:
Cs (0.175, 0.325, 0.000)
V (0.000, 0.000, 0.516)
V (0.132, 0.632, 0.518)
O (0.000, 0.000, 0.249)
O (0.000, 0.500, 0.633)
O (0.084, 0.807, 0.612)
O (0.125, 0.625, 0.248)


(7)
Structure and simulated powder X-ray diffraction pattern of CsW2O6 (a DFT-relaxed cell (PBE+U, the Materials Project); Cu Ka).

Largest 10 diffraction maxima, sorted by position, 5 to 70 degrees two-theta:
d (Å), intensity, index
6.077, 29.0, 1 1 1
3.721, 13.4, 2 2 0
3.174, 100.0, 3 1 1
3.039, 50.8, 2 2 2
2.631, 5.5, 4 0 0
2.026, 34.5, 3 3 3
1.861, 38.5, 4 4 0
1.605, 15.2, 5 3 3
1.587, 22.8, 6 2 2
1.370, 24.5, 7 3 1

Atomic structure:
a b c (Å): 10.526 10.526 10.526
angles (deg): 90.00 90.00 90.00
Space group Fd-3m (No. 227, origin choice 2)
Asymmetric unit:
Cs (0.125, 0.125, 0.125)
W (0.000, 0.000, 0.500)
O (0.060, 0.375, 0.875)


(8)
Structure and simulated powder X-ray diffraction pattern of Cs2W3O12 (a DFT-relaxed cell (PBE+U, the Materials Project); Cu Ka).

Largest 10 diffraction maxima, sorted by position, 5 to 70 degrees two-theta:
d (Å), intensity, index
6.718, 100.0, 0 0 1
4.019, 38.0, 1 -1 1
3.971, 63.0, 1 0 -2
3.446, 24.1, 1 0 1
3.359, 26.0, 0 0 2
3.294, 43.5, 1 1 0
3.246, 68.9, 0 2 -1
3.216, 57.0, 2 0 -1
3.194, 53.8, -2 2 1
3.110, 50.7, 0 2 0

Atomic structure:
a b c (Å): 7.477 7.549 7.965
angles (deg): 91.27 117.13 119.54
Space group P1 (No. 1)
Asymmetric unit:
Cs (0.000, 0.000, 0.000)
Cs (0.499, 0.253, 0.753)
W (0.248, 0.618, 0.328)
W (0.764, 0.125, 0.363)
W (0.809, 0.644, 0.425)
O (0.063, 0.503, 0.065)
O (0.067, 0.343, 0.368)
O (0.068, 0.704, 0.380)
O (0.427, 0.659, 0.634)
O (0.473, 0.913, 0.360)
O (0.494, 0.557, 0.378)
O (0.629, 0.044, 0.097)
O (0.637, 0.564, 0.119)
O (0.715, 0.346, 0.401)
O (0.868, 0.925, 0.401)
O (0.987, 0.189, 0.651)
O (0.991, 0.745, 0.690)